For La2Nb2N2O5, DFT lattice parameters and positions (PBE) gives the theoretical powder X-ray diffraction pattern in this record (copper Kα).
Kinematic intensities with the Lorentz-polarization factor, no thermal factor.

Atomic structure:
a b c (Å): 10.754 10.805 7.595
angles (deg): 90.00 134.64 90.00
Space group C2 (No. 5)
Inequivalent atoms, fractional coordinates:
La1 0.003 0.000 0.252 (multiplicity 4)
La2 0.248 0.759 0.747 (multiplicity 4)
Nb1 0.021 0.514 0.775 (multiplicity 4)
Nb2 0.241 0.254 0.730 (multiplicity 4)
N1 0.000 0.192 0.500 (multiplicity 2)
N2 0.000 0.879 0.500 (multiplicity 2)
N3 0.191 0.633 0.998 (multiplicity 4)
O1 0.000 0.133 0.000 (multiplicity 2)
O2 0.000 0.433 0.000 (multiplicity 2)
O3 0.000 0.574 0.500 (multiplicity 2)
O4 0.000 0.836 0.000 (multiplicity 2)
O5 0.197 0.383 0.892 (multiplicity 4)
O6 0.197 0.630 0.398 (multiplicity 4)
O7 0.206 0.379 0.502 (multiplicity 4)

The 10 most intense peaks (10° ≤ 2θ ≤ 90°), sorted by position:
| h k l | two_theta | I (rel.) |
| --- | --- | --- |
| 2 2 0 | 28.59 | 100.0 |
| 2 2 -2 | 28.73 | 99.0 |
| 0 4 0 | 33.16 | 43.8 |
| 4 0 -2 | 33.33 | 21.7 |
| 0 4 2 | 47.57 | 43.9 |
| 4 4 -2 | 47.73 | 30.1 |
| 4 0 -4 | 47.91 | 15.0 |
| 2 6 -2 | 56.52 | 27.9 |
| 6 2 -2 | 56.62 | 27.6 |
| 6 2 -4 | 56.86 | 14.2 |